[1]
The following is a computed X-ray powder pattern of AcNd2DySe6. It was derived from DFT lattice parameters and positions (PBE), using λ = 1.5418 Å (Cu Kα).
Intensities are scaled so that the largest is 100.

The 12 most intense peaks (10° ≤ 2θ ≤ 80°), sorted by position:
- 16.26 deg, 5.453 Å, I = 48
- 22.47 deg, 3.957 Å, I = 79
- 23.65 deg, 3.762 Å, I = 55
- 27.25 deg, 3.273 Å, I = 63
- 32.85 deg, 2.726 Å, I = 54
- 36.08 deg, 2.489 Å, I = 100
- 40.88 deg, 2.207 Å, I = 51
- 41.58 deg, 2.172 Å, I = 72
- 47.71 deg, 1.906 Å, I = 36
- 56.21 deg, 1.637 Å, I = 25
- 65.15 deg, 1.432 Å, I = 21
- 72.29 deg, 1.307 Å, I = 21

abc: 7.9356 7.9356 7.9356
angles: 56.59 56.59 56.59
Element x y z (fractional)
Ac  0.0000  0.0000  0.0000
Nd  0.2878  0.2878  0.2878
Nd  0.7948  0.7948  0.7948
Dy  0.4897  0.4897  0.4897
Se  0.0931  0.6686  0.4162
Se  0.2061  0.5892  0.8796
Se  0.4162  0.0931  0.6686
Se  0.5892  0.8796  0.2061
Se  0.6686  0.4162  0.0931
Se  0.8796  0.2061  0.5892

---

[2]
The following is a computed X-ray powder pattern of Ac2NdSmDy. It was derived from DFT lattice parameters and positions (PBE), using λ = 1.5418 Å (Cu Kα).
Intensities are scaled so that the largest is 100.

The 12 most intense peaks (10° ≤ 2θ ≤ 80°), sorted by position:
- 18.88 deg, 4.700 Å, I = 17
- 27.51 deg, 3.243 Å, I = 26
- 27.62 deg, 3.230 Å, I = 100
- 28.03 deg, 3.184 Å, I = 28
- 31.30 deg, 2.858 Å, I = 21
- 32.18 deg, 2.782 Å, I = 21
- 33.11 deg, 2.706 Å, I = 20
- 35.81 deg, 2.508 Å, I = 23
- 38.30 deg, 2.350 Å, I = 21
- 43.43 deg, 2.084 Å, I = 18
- 48.70 deg, 1.870 Å, I = 22
- 53.36 deg, 1.717 Å, I = 16

abc: 6.4855 8.8945 6.8194
angles: 90.00 90.00 90.00
Element x y z (fractional)
Ac  0.2500  0.2049  0.2094
Ac  0.2500  0.7951  0.2094
Ac  0.7500  0.2049  0.7906
Ac  0.7500  0.7951  0.7906
Nd  0.2500  0.5000  0.9149
Nd  0.7500  0.5000  0.0851
Sm  0.2500  0.0000  0.6803
Sm  0.7500  0.0000  0.3197
Dy  0.0000  0.5000  0.5000
Dy  0.5000  0.5000  0.5000

---

[3]
The following is a computed X-ray powder pattern of AcNdSm5Dy2. It was derived from DFT lattice parameters and positions (PBE), using λ = 1.5418 Å (Cu Kα).
Intensities are scaled so that the largest is 100.

The 12 most intense peaks (10° ≤ 2θ ≤ 80°), sorted by position:
- 27.96 deg, 3.191 Å, I = 93
- 30.30 deg, 2.950 Å, I = 100
- 31.32 deg, 2.856 Å, I = 23
- 36.37 deg, 2.470 Å, I = 42
- 41.64 deg, 2.169 Å, I = 26
- 44.90 deg, 2.019 Å, I = 12
- 46.62 deg, 1.948 Å, I = 14
- 50.93 deg, 1.793 Å, I = 21
- 55.22 deg, 1.663 Å, I = 19
- 57.12 deg, 1.613 Å, I = 12
- 62.89 deg, 1.478 Å, I = 16
- 77.24 deg, 1.235 Å, I = 9

abc: 10.0752 10.0752 10.0752
angles: 126.74 126.74 78.68
Element x y z (fractional)
Ac  0.2500  0.2500  0.0000
Ac  0.7500  0.7500  0.0000
Nd  0.2500  0.7500  0.5000
Nd  0.7500  0.2500  0.5000
Sm  0.0000  0.0000  0.0000
Sm  0.0709  0.5709  0.8944
Sm  0.1766  0.0709  0.5000
Sm  0.3234  0.8234  0.8944
Sm  0.4291  0.3234  0.5000
Sm  0.5000  0.5000  0.0000
Sm  0.5709  0.6766  0.5000
Sm  0.6766  0.1766  0.1056
Sm  0.8234  0.9291  0.5000
Sm  0.9291  0.4291  0.1056
Dy  0.1153  0.3847  0.5000
Dy  0.3847  0.8847  0.2694
Dy  0.6153  0.1153  0.7306
Dy  0.8847  0.6153  0.5000

---

[4]
The following is a computed X-ray powder pattern of AcNd2SmDy4. It was derived from DFT lattice parameters and positions (PBE), using λ = 1.5418 Å (Cu Kα).
Intensities are scaled so that the largest is 100.

The 12 most intense peaks (10° ≤ 2θ ≤ 80°), sorted by position:
- 26.44 deg, 3.371 Å, I = 45
- 29.74 deg, 3.004 Å, I = 100
- 40.19 deg, 2.244 Å, I = 59
- 40.23 deg, 2.242 Å, I = 29
- 52.77 deg, 1.735 Å, I = 20
- 54.43 deg, 1.686 Å, I = 6
- 59.97 deg, 1.542 Å, I = 27
- 61.71 deg, 1.503 Å, I = 8
- 63.26 deg, 1.470 Å, I = 23
- 68.33 deg, 1.373 Å, I = 12
- 68.44 deg, 1.371 Å, I = 6
- 79.24 deg, 1.209 Å, I = 12

abc: 9.6720 9.6720 6.9465
angles: 111.04 111.04 88.39
Element x y z (fractional)
Ac  0.0000  0.5000  0.0000
Ac  0.5000  0.0000  0.5000
Nd  0.0000  0.0000  0.0000
Nd  0.0000  0.0000  0.5000
Nd  0.0000  0.5000  0.5000
Nd  0.5000  0.0000  0.0000
Sm  0.5000  0.5000  0.0000
Sm  0.5000  0.5000  0.5000
Dy  0.2438  0.2598  0.5011
Dy  0.2518  0.7483  0.5131
Dy  0.2517  0.7482  0.9869
Dy  0.2598  0.2438  0.0011
Dy  0.7402  0.7562  0.9989
Dy  0.7483  0.2518  0.0131
Dy  0.7482  0.2517  0.4869
Dy  0.7562  0.7402  0.4989

---

[5]
The following is a computed X-ray powder pattern of AcTb4Nd2Dy. It was derived from DFT lattice parameters and positions (PBE), using λ = 1.5418 Å (Cu Kα).
Intensities are scaled so that the largest is 100.

The 12 most intense peaks (10° ≤ 2θ ≤ 80°), sorted by position:
- 26.45 deg, 3.369 Å, I = 45
- 29.75 deg, 3.003 Å, I = 100
- 40.20 deg, 2.243 Å, I = 59
- 40.27 deg, 2.239 Å, I = 29
- 52.68 deg, 1.737 Å, I = 7
- 52.85 deg, 1.732 Å, I = 13
- 59.90 deg, 1.544 Å, I = 9
- 60.05 deg, 1.541 Å, I = 18
- 61.71 deg, 1.503 Å, I = 8
- 63.29 deg, 1.469 Å, I = 22
- 68.33 deg, 1.373 Å, I = 12
- 79.34 deg, 1.208 Å, I = 8

abc: 9.6655 9.6655 9.6655
angles: 137.86 103.33 91.60
Element x y z (fractional)
Ac  0.0000  0.0000  0.0000
Ac  0.5000  0.0000  0.5000
Tb  0.2465  0.7419  0.5047
Tb  0.2550  0.2680  0.5130
Tb  0.2550  0.7420  0.9870
Tb  0.2628  0.2581  0.0047
Tb  0.7372  0.7419  0.9953
Tb  0.7450  0.2580  0.0130
Tb  0.7450  0.7320  0.4870
Tb  0.7535  0.2581  0.4953
Nd  0.0000  0.0000  0.5000
Nd  0.0000  0.5000  0.0000
Nd  0.0000  0.5000  0.5000
Nd  0.5000  0.5000  0.0000
Dy  0.5000  0.0000  0.0000
Dy  0.5000  0.5000  0.5000

---

[6]
The following is a computed X-ray powder pattern of AcTb2NdDy5. It was derived from DFT lattice parameters and positions (PBE), using λ = 1.5418 Å (Cu Kα).
Intensities are scaled so that the largest is 100.

The 12 most intense peaks (10° ≤ 2θ ≤ 80°), sorted by position:
- 28.38 deg, 3.145 Å, I = 89
- 30.67 deg, 2.915 Å, I = 100
- 31.83 deg, 2.811 Å, I = 20
- 36.88 deg, 2.437 Å, I = 36
- 42.32 deg, 2.136 Å, I = 23
- 45.61 deg, 1.989 Å, I = 11
- 47.07 deg, 1.931 Å, I = 15
- 51.72 deg, 1.767 Å, I = 19
- 55.89 deg, 1.645 Å, I = 20
- 58.00 deg, 1.590 Å, I = 18
- 63.97 deg, 1.455 Å, I = 14
- 78.49 deg, 1.219 Å, I = 12

abc: 9.9584 9.9584 9.9584
angles: 126.98 126.98 78.29
Element x y z (fractional)
Ac  0.2500  0.2500  0.0000
Ac  0.7500  0.7500  0.0000
Tb  0.1156  0.6156  0.7312
Tb  0.3844  0.1156  0.5000
Tb  0.6156  0.8844  0.5000
Tb  0.8844  0.3844  0.2688
Nd  0.2500  0.7500  0.5000
Nd  0.7500  0.2500  0.5000
Dy  0.0000  0.0000  0.0000
Dy  0.0738  0.1706  0.5000
Dy  0.1706  0.6706  0.0968
Dy  0.3294  0.4262  0.5000
Dy  0.4262  0.9262  0.0968
Dy  0.5000  0.5000  0.0000
Dy  0.5738  0.0738  0.9032
Dy  0.6706  0.5738  0.5000
Dy  0.8294  0.3294  0.9032
Dy  0.9262  0.8294  0.5000